Record 1
For SnSb2Au2, the PBE geometry in Alexandria gives the computed XRD peak list in this record (a wavelength of 1.5418 Å).

Cell and atoms:
Cell lengths 4.1439, 4.1439, 25.0151 Å; angles 90.00, 90.00, 120.00 degrees
Space group R-3m (No. 166, hexagonal axes)
Symmetry-distinct sites (fractional):
Sn (0.0000, 0.0000, 0.0000) x3
Sb (0.0000, 0.0000, 0.2050) x6
Au (0.0000, 0.0000, 0.3978) x6

Top 12 peaks for 2θ from 10° to 90°, in order of falling intensity:
2θ/deg, d_spacing, I (rel.)
30.7, 2.916, 100
43.7, 2.072, 39
44.1, 2.052, 36
54.3, 1.689, 20
72.2, 1.309, 18
72.8, 1.299, 16
80.6, 1.192, 13
63.8, 1.458, 12
80.2, 1.196, 7
55.1, 1.668, 6
81.5, 1.181, 6
25.1, 3.552, 5

=====

Record 2
For TlSnSb2Au4, the PBE geometry in Alexandria gives the computed XRD peak list in this record (a wavelength of 1.5418 Å).

Cell and atoms:
Cell lengths 8.622, 11.478, 7.852 Å; angles 90.00, 90.00, 90.00 degrees
Space group Fmm2 (No. 42)
Symmetry-distinct sites (fractional):
Tl (0.000, 0.000, 0.000) x4
Sn (0.000, 0.000, 0.500) x4
Sb (0.250, 0.250, 0.248) x8
Au (0.000, 0.246, 0.497) x8
Au (0.250, 0.000, 0.250) x8

Top 12 peaks for 2θ from 10° to 90°, in order of falling intensity:
2θ/deg, d_spacing, I (rel.)
30.8, 2.903, 100
44.4, 2.041, 74
31.2, 2.870, 48
53.1, 1.723, 22
41.9, 2.156, 22
56.8, 1.620, 18
73.1, 1.295, 17
73.6, 1.286, 17
46.2, 1.963, 17
78.3, 1.221, 14
64.2, 1.451, 13
84.4, 1.148, 12

=====

Record 3
For Sr2Sb2Au15, the PBE geometry in Alexandria gives the computed XRD peak list in this record (a wavelength of 1.5418 Å).

Cell and atoms:
Cell lengths 9.9602, 9.9602, 14.1434 Å; angles 90.00, 90.00, 120.00 degrees
Space group R-3m (No. 166, hexagonal axes)
Symmetry-distinct sites (fractional):
Sr (0.0000, 0.0000, 0.1491) x6
Sb (0.0000, 0.0000, 0.3981) x6
Au (0.0000, 0.3292, 0.5000) x18
Au (0.0000, 0.5000, 0.0000) x9
Au (0.0074, 0.5037, 0.6639) x18

Top 12 peaks for 2θ from 10° to 90°, in order of falling intensity:
2θ/deg, d_spacing, I (rel.)
41.0, 2.202, 100
36.6, 2.455, 91
17.8, 4.980, 43
36.1, 2.490, 35
38.2, 2.357, 33
64.9, 1.438, 28
42.4, 2.131, 26
77.8, 1.227, 26
59.0, 1.566, 23
31.1, 2.875, 20
68.0, 1.379, 19
70.9, 1.329, 17

=====

Record 4
For SrSbAu5, the PBE geometry in Alexandria gives the computed XRD peak list in this record (a wavelength of 1.5418 Å).

Cell and atoms:
Cell lengths 9.675, 5.732, 11.301 Å; angles 90.00, 90.00, 90.00 degrees
Space group Pnma (No. 62)
Symmetry-distinct sites (fractional):
Sr (0.250, 0.250, 0.055) x4
Sb (0.135, 0.250, 0.348) x4
Au (0.076, 0.250, 0.580) x4
Au (0.076, 0.750, 0.019) x4
Au (0.081, 0.504, 0.800) x8
Au (0.170, 0.750, 0.260) x4

Top 12 peaks for 2θ from 10° to 90°, in order of falling intensity:
2θ/deg, d_spacing, I (rel.)
32.8, 2.728, 100
37.3, 2.409, 80
40.6, 2.220, 65
40.2, 2.245, 53
38.0, 2.365, 51
33.0, 2.712, 50
34.0, 2.639, 44
41.0, 2.201, 41
68.8, 1.364, 39
42.5, 2.125, 36
39.9, 2.260, 36
43.9, 2.063, 35

=====

Record 5
For Sr2SbAu7, the PBE geometry in Alexandria gives the computed XRD peak list in this record (a wavelength of 1.5418 Å).

Cell and atoms:
Cell lengths 4.293, 4.293, 12.987 Å; angles 90.00, 90.00, 90.00 degrees
Space group P-4m2 (No. 115)
Symmetry-distinct sites (fractional):
Sr (0.000, 0.500, 0.239) x2
Sb (0.000, 0.000, 0.500) x1
Au (0.000, 0.000, 0.000) x1
Au (0.000, 0.500, 0.651) x2
Au (0.000, 0.500, 0.857) x2
Au (0.500, 0.500, 0.000) x1
Au (0.500, 0.500, 0.500) x1

Top 12 peaks for 2θ from 10° to 90°, in order of falling intensity:
2θ/deg, d_spacing, I (rel.)
40.7, 2.219, 100
32.6, 2.750, 93
42.1, 2.147, 54
21.8, 4.076, 42
76.0, 1.253, 27
59.9, 1.544, 24
29.3, 3.048, 22
70.9, 1.329, 20
61.1, 1.518, 18
60.8, 1.524, 17
80.4, 1.194, 16
13.6, 6.494, 15

=====

Record 6
For Tc3SbAu, the PBE geometry in Alexandria gives the computed XRD peak list in this record (a wavelength of 1.5418 Å).

Cell and atoms:
Cell lengths 4.980, 4.980, 4.980 Å; angles 90.00, 90.00, 90.00 degrees
Space group Pm-3m (No. 221)
Symmetry-distinct sites (fractional):
Tc (0.000, 0.000, 0.500) x3
Sb (0.500, 0.500, 0.500) x1
Au (0.000, 0.000, 0.000) x1

Top 12 peaks for 2θ from 10° to 90°, in order of falling intensity:
2θ/deg, d_spacing, I (rel.)
36.1, 2.490, 100
51.9, 1.761, 70
25.3, 3.521, 61
17.8, 4.980, 46
87.6, 1.114, 32
44.6, 2.033, 28
31.1, 2.875, 26
40.5, 2.227, 24
64.9, 1.438, 24
70.8, 1.331, 14
58.6, 1.575, 12
55.3, 1.660, 12